Starting from a structure optimized by DFT (PBE), the powder diffraction line list of La4Br was simulated for Cu Kα.
Peak positions follow from Bragg's law for the DFT cell and can differ from measured ones.

Principal peaks in the range 2θ = 15–90°, by angle:
2θ = 15.4°, rel. 9
2θ = 21.8°, rel. 8
2θ = 26.8°, rel. 100
2θ = 31.0°, rel. 94
2θ = 44.4°, rel. 70
2θ = 52.6°, rel. 47
2θ = 55.1°, rel. 24
2θ = 64.6°, rel. 11
2θ = 71.2°, rel. 19
2θ = 73.4°, rel. 31
2θ = 81.8°, rel. 23
2θ = 87.9°, rel. 15

a b c (Å): 5.7703 5.7703 5.7703
angles (deg): 90.00 90.00 90.00
Space group Pm-3m (No. 221)
Inequivalent atoms, fractional coordinates:
La1 0.0000 0.0000 0.0000
La2 0.0000 0.5000 0.5000
Br1 0.5000 0.5000 0.5000

---

Starting from a structure optimized by DFT (PBE), the powder diffraction line list of La2Br5 was simulated for Cu Kα.
Peak positions follow from Bragg's law for the DFT cell and can differ from measured ones.

Principal peaks in the range 2θ = 15–90°, by angle:
2θ = 24.6°, rel. 41
2θ = 27.0°, rel. 79
2θ = 29.4°, rel. 44
2θ = 30.5°, rel. 70
2θ = 30.8°, rel. 44
2θ = 31.2°, rel. 46
2θ = 33.3°, rel. 100
2θ = 33.5°, rel. 58
2θ = 33.9°, rel. 38
2θ = 40.4°, rel. 41
2θ = 40.6°, rel. 52
2θ = 42.5°, rel. 56

a b c (Å): 8.0776 4.2515 13.7485
angles (deg): 90.00 90.14 90.00
Space group P2_1/m (No. 11)
Inequivalent atoms, fractional coordinates:
La1 0.0728 0.2500 0.3396
La2 0.4262 0.7500 0.1580
Br1 0.0493 0.7500 0.1799
Br2 0.1486 0.2500 0.5680
Br3 0.3108 0.2500 0.0125
Br4 0.3362 0.7500 0.7720
Br5 0.3412 0.7500 0.3752

---

Starting from a structure optimized by DFT (PBE), the powder diffraction line list of LiLaBr was simulated for Cu Kα.
Peak positions follow from Bragg's law for the DFT cell and can differ from measured ones.

Principal peaks in the range 2θ = 15–90°, by angle:
2θ = 21.8°, rel. 100
2θ = 25.2°, rel. 8
2θ = 35.9°, rel. 86
2θ = 42.4°, rel. 52
2θ = 51.7°, rel. 15
2θ = 56.7°, rel. 22
2θ = 58.3°, rel. 3
2θ = 64.5°, rel. 31
2θ = 69.0°, rel. 16
2θ = 76.1°, rel. 9
2θ = 80.3°, rel. 16
2θ = 87.1°, rel. 14

a b c (Å): 7.0743 7.0743 7.0743
angles (deg): 90.00 90.00 90.00
Space group F-43m (No. 216)
Inequivalent atoms, fractional coordinates:
Li1 0.0000 0.0000 0.0000
La1 0.0000 0.0000 0.5000
Br1 0.2500 0.2500 0.2500

---

Starting from a structure optimized by DFT (PBE), the powder diffraction line list of LiLa2Br was simulated for Cu Kα.
Peak positions follow from Bragg's law for the DFT cell and can differ from measured ones.

Principal peaks in the range 2θ = 15–90°, by angle:
2θ = 26.8°, rel. 64
2θ = 29.8°, rel. 28
2θ = 31.9°, rel. 100
2θ = 35.4°, rel. 48
2θ = 47.0°, rel. 31
2θ = 51.0°, rel. 17
2θ = 54.6°, rel. 10
2θ = 57.4°, rel. 23
2θ = 58.5°, rel. 14
2θ = 60.2°, rel. 15
2θ = 61.4°, rel. 30
2θ = 80.3°, rel. 17

a b c (Å): 3.5843 3.5843 8.9829
angles (deg): 90.00 90.00 90.00
Space group P4mm (No. 99)
Inequivalent atoms, fractional coordinates:
Li1 0.0000 0.0000 0.0000
La1 0.0000 0.0000 0.4118
La2 0.5000 0.5000 0.7182
Br1 0.5000 0.5000 0.1249

---

Starting from a structure optimized by DFT (PBE), the powder diffraction line list of Li2LaBrN was simulated for Cu Kα.
Peak positions follow from Bragg's law for the DFT cell and can differ from measured ones.

Principal peaks in the range 2θ = 15–90°, by angle:
2θ = 24.3°, rel. 90
2θ = 24.8°, rel. 69
2θ = 25.6°, rel. 93
2θ = 27.6°, rel. 39
2θ = 30.8°, rel. 27
2θ = 33.2°, rel. 53
2θ = 35.0°, rel. 100
2θ = 35.6°, rel. 70
2θ = 39.6°, rel. 33
2θ = 40.4°, rel. 30
2θ = 47.7°, rel. 48
2θ = 62.0°, rel. 28

a b c (Å): 3.7219 13.9420 7.3116
angles (deg): 90.00 90.00 90.00
Space group Cmcm (No. 63)
Inequivalent atoms, fractional coordinates:
Li1 0.0000 0.1421 0.0322
La1 0.0000 0.4872 0.2500
Br1 0.0000 0.2669 0.7500
N1 0.0000 0.0000 0.0000

---

Starting from a structure optimized by DFT (PBE), the powder diffraction line list of Na2LiLaBr6 was simulated for Cu Kα.
Peak positions follow from Bragg's law for the DFT cell and can differ from measured ones.

Principal peaks in the range 2θ = 15–90°, by angle:
2θ = 16.4°, rel. 25
2θ = 26.8°, rel. 10
2θ = 27.5°, rel. 100
2θ = 33.2°, rel. 13
2θ = 36.3°, rel. 42
2θ = 37.3°, rel. 10
2θ = 42.2°, rel. 32
2θ = 47.7°, rel. 24
2θ = 51.2°, rel. 13
2θ = 56.9°, rel. 9
2θ = 68.5°, rel. 9
2θ = 71.9°, rel. 10

a b c (Å): 7.4111 7.4111 19.9782
angles (deg): 90.00 90.00 120.00
Space group R3 (No. 146, hexagonal axes)
Inequivalent atoms, fractional coordinates:
Na1 0.0000 0.0000 0.0000
Na2 0.0000 0.0000 0.4980
Li1 0.0000 0.0000 0.2968
La1 0.0000 0.0000 0.8020
Br1 0.0089 0.6409 0.5627
Br2 0.0182 0.3093 0.3923

---

Starting from a structure optimized by DFT (PBE), the powder diffraction line list of LaMg2Br was simulated for Cu Kα.
Peak positions follow from Bragg's law for the DFT cell and can differ from measured ones.

Principal peaks in the range 2θ = 15–90°, by angle:
2θ = 20.5°, rel. 25
2θ = 26.0°, rel. 34
2θ = 30.1°, rel. 24
2θ = 30.8°, rel. 100
2θ = 32.0°, rel. 37
2θ = 33.6°, rel. 44
2θ = 35.4°, rel. 21
2θ = 36.8°, rel. 67
2θ = 37.0°, rel. 19
2θ = 41.2°, rel. 19
2θ = 54.3°, rel. 17
2θ = 54.8°, rel. 16

a b c (Å): 10.8149 3.6258 6.0168
angles (deg): 90.00 99.41 90.00
Space group Cm (No. 8)
Inequivalent atoms, fractional coordinates:
La1 0.0000 0.0000 0.0000
Mg1 0.0035 0.5000 0.4926
Mg2 0.2632 0.5000 0.3760
Br1 0.2647 0.0000 0.8473

---

Starting from a structure optimized by DFT (PBE), the powder diffraction line list of La5MnBr5 was simulated for Cu Kα.
Peak positions follow from Bragg's law for the DFT cell and can differ from measured ones.

Principal peaks in the range 2θ = 15–90°, by angle:
2θ = 28.8°, rel. 100
2θ = 29.3°, rel. 98
2θ = 29.7°, rel. 60
2θ = 30.8°, rel. 45
2θ = 33.8°, rel. 45
2θ = 40.4°, rel. 23
2θ = 41.5°, rel. 73
2θ = 42.2°, rel. 45
2θ = 43.2°, rel. 23
2θ = 50.6°, rel. 23
2θ = 53.0°, rel. 25
2θ = 60.5°, rel. 18

a b c (Å): 13.4707 6.1003 8.9409
angles (deg): 90.00 111.14 90.00
Space group C2/m (No. 12)
Inequivalent atoms, fractional coordinates:
La1 0.0000 0.0000 0.0000
La2 0.1356 0.5000 0.2720
La3 0.1687 0.5000 0.8625
Mn1 0.0000 0.5000 0.0000
Br1 0.0000 0.5000 0.5000
Br2 0.1500 0.0000 0.7933
Br3 0.1723 0.0000 0.3556

---

Starting from a structure optimized by DFT (PBE), the powder diffraction line list of LaMnPdBr2 was simulated for Cu Kα.
Peak positions follow from Bragg's law for the DFT cell and can differ from measured ones.

Principal peaks in the range 2θ = 15–90°, by angle:
2θ = 15.2°, rel. 88
2θ = 16.3°, rel. 20
2θ = 21.6°, rel. 21
2θ = 27.2°, rel. 48
2θ = 30.7°, rel. 100
2θ = 32.9°, rel. 42
2θ = 34.5°, rel. 24
2θ = 36.4°, rel. 21
2θ = 44.0°, rel. 36
2θ = 45.6°, rel. 66
2θ = 56.0°, rel. 35
2θ = 82.1°, rel. 23

a b c (Å): 5.8207 5.8207 5.4474
angles (deg): 90.00 90.00 90.00
Space group P4/mmm (No. 123)
Inequivalent atoms, fractional coordinates:
La1 0.0000 0.0000 0.0000
Mn1 0.5000 0.5000 0.5000
Pd1 0.0000 0.0000 0.5000
Br1 0.0000 0.5000 0.0000

---

Starting from a structure optimized by DFT (PBE), the powder diffraction line list of LaMoBr2 was simulated for Cu Kα.
Peak positions follow from Bragg's law for the DFT cell and can differ from measured ones.

Principal peaks in the range 2θ = 15–90°, by angle:
2θ = 25.8°, rel. 24
2θ = 26.8°, rel. 42
2θ = 33.8°, rel. 97
2θ = 36.9°, rel. 38
2θ = 39.3°, rel. 15
2θ = 39.7°, rel. 25
2θ = 41.0°, rel. 100
2θ = 51.2°, rel. 20
2θ = 55.3°, rel. 20
2θ = 64.5°, rel. 16
2θ = 69.3°, rel. 21
2θ = 77.4°, rel. 22

a b c (Å): 3.5702 4.8745 13.6363
angles (deg): 90.00 90.00 90.00
Space group Immm (No. 71)
Inequivalent atoms, fractional coordinates:
La1 0.0000 0.0000 0.0000
Mo1 0.0000 0.0000 0.5000
Br1 0.0000 0.5000 0.1472

---

Starting from a structure optimized by DFT (PBE), the powder diffraction line list of La4Br3N2 was simulated for Cu Kα.
Peak positions follow from Bragg's law for the DFT cell and can differ from measured ones.

Principal peaks in the range 2θ = 15–90°, by angle:
2θ = 24.3°, rel. 24
2θ = 25.1°, rel. 43
2θ = 26.5°, rel. 31
2θ = 29.4°, rel. 100
2θ = 29.5°, rel. 21
2θ = 31.5°, rel. 23
2θ = 33.5°, rel. 37
2θ = 37.5°, rel. 17
2θ = 38.0°, rel. 30
2θ = 43.2°, rel. 22
2θ = 47.6°, rel. 17
2θ = 49.8°, rel. 19

a b c (Å): 7.6482 20.0400 7.5742
angles (deg): 90.00 90.00 90.00
Space group Imma (No. 74)
Inequivalent atoms, fractional coordinates:
La1 0.0000 0.0496 0.1840
La2 0.2500 0.1202 0.7500
Br1 0.0000 0.1621 0.4514
Br2 0.0000 0.2500 0.8940
N1 0.0000 0.0649 0.8732

---

Repeat the tenth record exactly.
Starting from a structure optimized by DFT (PBE), the powder diffraction line list of LaMoBr2 was simulated for Cu Kα.
Peak positions follow from Bragg's law for the DFT cell and can differ from measured ones.

Principal peaks in the range 2θ = 15–90°, by angle:
2θ = 25.8°, rel. 24
2θ = 26.8°, rel. 42
2θ = 33.8°, rel. 97
2θ = 36.9°, rel. 38
2θ = 39.3°, rel. 15
2θ = 39.7°, rel. 25
2θ = 41.0°, rel. 100
2θ = 51.2°, rel. 20
2θ = 55.3°, rel. 20
2θ = 64.5°, rel. 16
2θ = 69.3°, rel. 21
2θ = 77.4°, rel. 22

a b c (Å): 3.5702 4.8745 13.6363
angles (deg): 90.00 90.00 90.00
Space group Immm (No. 71)
Inequivalent atoms, fractional coordinates:
La1 0.0000 0.0000 0.0000
Mo1 0.0000 0.0000 0.5000
Br1 0.0000 0.5000 0.1472